[1]
The following is a simulated powder XRD pattern of SrMn2O6. It was derived from a cell relaxed with GGA+U, using Cu Ka.
Neutral-atom scattering factors, no anomalous dispersion.

Largest 10 diffraction maxima, by intensity, 2θ from 10° to 90°:
- 2θ 26.29, I 100, hkl 1 0 1
- 2θ 49.51, I 41, hkl 1 1 2
- 2θ 35.87, I 28, hkl 1 1 0
- 2θ 58.85, I 19, hkl 2 1 1
- 2θ 45.01, I 17, hkl 2 0 1
- 2θ 54.93, I 9, hkl 1 0 3
- 2θ 67.36, I 9, hkl 2 0 3
- 2θ 74.33, I 8, hkl 3 0 2
- 2θ 82.06, I 7, hkl 3 1 1
- 2θ 41.65, I 7, hkl 2 0 0

Crystal structure
```
data_SrMn2O6
_cell_length_a 5.0074
_cell_length_b 5.0074
_cell_length_c 5.4343
_cell_angle_alpha 90.00
_cell_angle_beta 90.00
_cell_angle_gamma 120.00
_space_group_name_H-M_alt 'P -6 2 m'
_space_group_IT_number 189
_space_group_name_Hall 'P -6 -2'
loop_
_atom_site_label
_atom_site_type_symbol
_atom_site_fract_x
_atom_site_fract_y
_atom_site_fract_z
Sr1 Sr 0.0000 0.0000 0.0000
Mn1 Mn 0.3333 0.6667 0.5000
O1 O 0.0000 0.4337 0.2807
```

[2]
The following is a simulated powder XRD pattern of SrMn7O12. It was derived from a cell relaxed with GGA+U, using Cu Ka.
Neutral-atom scattering factors, no anomalous dispersion.

Largest 10 diffraction maxima, by intensity, 2θ from 10° to 90°:
- 2θ 33.61, I 100, hkl 2 2 0
- 2θ 60.09, I 49, hkl 4 2 2
- 2θ 48.26, I 27, hkl 4 0 0
- 2θ 80.54, I 16, hkl 6 0 2
- 2θ 70.64, I 12, hkl 4 4 0
- 2θ 37.71, I 9, hkl 3 1 0
- 2θ 44.97, I 6, hkl 3 2 1
- 2θ 41.47, I 3, hkl 2 2 2
- 2θ 78.11, I 2, hkl 5 3 2
- 2θ 16.62, I 2, hkl 1 1 0

Crystal structure
```
data_SrMn7O12
_cell_length_a 7.543
_cell_length_b 7.543
_cell_length_c 7.543
_cell_angle_alpha 90.00
_cell_angle_beta 90.00
_cell_angle_gamma 90.00
_space_group_name_H-M_alt 'I m -3'
_space_group_IT_number 204
_space_group_name_Hall '-I 2 2 3'
loop_
_atom_site_label
_atom_site_type_symbol
_atom_site_fract_x
_atom_site_fract_y
_atom_site_fract_z
Sr1 Sr 0.000 0.000 0.000
Mn1 Mn 0.000 0.000 0.500
Mn2 Mn 0.250 0.250 0.250
O1 O 0.000 0.180 0.311
```

[3]
The following is a simulated powder XRD pattern of Sr13Mn8O30. It was derived from a cell relaxed with GGA+U, using Cu Ka.
Neutral-atom scattering factors, no anomalous dispersion.

Largest 10 diffraction maxima, by intensity, 2θ from 10° to 90°:
- 2θ 31.33, I 100, hkl 1 -3 1
- 2θ 31.65, I 93, hkl 1 3 1
- 2θ 31.45, I 89, hkl 2 0 2
- 2θ 28.59, I 47, hkl -2 1 1
- 2θ 42.35, I 42, hkl 2 0 -4
- 2θ 31.94, I 35, hkl -2 1 2
- 2θ 27.62, I 31, hkl 1 2 -2
- 2θ 43.56, I 30, hkl 3 -2 0
- 2θ 35.00, I 29, hkl 0 1 4
- 2θ 33.38, I 28, hkl 1 2 -3

Crystal structure
```
data_Sr13Mn8O30
_cell_length_a 6.860
_cell_length_b 9.840
_cell_length_c 10.655
_cell_angle_alpha 90.57
_cell_angle_beta 91.69
_cell_angle_gamma 90.39
_space_group_name_H-M_alt 'P 1'
_space_group_IT_number 1
loop_
_space_group_symop_operation_xyz
'x,y,z'
loop_
_atom_site_label
_atom_site_type_symbol
_atom_site_fract_x
_atom_site_fract_y
_atom_site_fract_z
Sr1 Sr 0.000 0.000 0.000
Sr2 Sr 0.000 0.375 0.933
Sr3 Sr 0.003 0.868 0.498
Sr4 Sr 0.175 0.188 0.293
Sr5 Sr 0.178 0.684 0.791
Sr6 Sr 0.354 0.542 0.175
Sr7 Sr 0.356 0.341 0.661
Sr8 Sr 0.499 0.186 0.966
Sr9 Sr 0.644 0.032 0.271
Sr10 Sr 0.645 0.830 0.758
Sr11 Sr 0.824 0.692 0.144
Sr12 Sr 0.826 0.183 0.641
Sr13 Sr 0.998 0.504 0.434
Mn1 Mn 0.218 0.855 0.245
Mn2 Mn 0.219 0.020 0.747
Mn3 Mn 0.418 0.020 0.542
Mn4 Mn 0.421 0.854 0.039
Mn5 Mn 0.579 0.519 0.894
Mn6 Mn 0.583 0.353 0.390
Mn7 Mn 0.781 0.354 0.184
Mn8 Mn 0.781 0.518 0.687
O1 O 0.028 0.435 0.679
O2 O 0.033 0.429 0.177
O3 O 0.128 0.703 0.326
O4 O 0.157 0.170 0.847
O5 O 0.159 0.773 0.080
O6 O 0.161 0.105 0.584
O7 O 0.309 0.967 0.383
O8 O 0.311 0.909 0.880
O9 O 0.315 0.871 0.633
O10 O 0.322 0.012 0.128
O11 O 0.325 0.403 0.417
O12 O 0.338 0.441 0.923
O13 O 0.488 0.091 0.714
O14 O 0.488 0.790 0.205
O15 O 0.497 0.688 0.962
O16 O 0.499 0.186 0.465
O17 O 0.512 0.284 0.218
O18 O 0.512 0.581 0.726
O19 O 0.663 0.932 0.011
O20 O 0.675 0.970 0.516
O21 O 0.679 0.361 0.806
O22 O 0.685 0.502 0.301
O23 O 0.690 0.470 0.053
O24 O 0.691 0.404 0.550
O25 O 0.838 0.268 0.347
O26 O 0.840 0.205 0.082
O27 O 0.841 0.601 0.851
O28 O 0.870 0.669 0.605
O29 O 0.968 0.944 0.756
O30 O 0.972 0.938 0.253
```

What did the first record say?
The following is a simulated powder XRD pattern of SrMn2O6. It was derived from a cell relaxed with GGA+U, using Cu Ka.
Neutral-atom scattering factors, no anomalous dispersion.

Largest 10 diffraction maxima, by intensity, 2θ from 10° to 90°:
- 2θ 26.29, I 100, hkl 1 0 1
- 2θ 49.51, I 41, hkl 1 1 2
- 2θ 35.87, I 28, hkl 1 1 0
- 2θ 58.85, I 19, hkl 2 1 1
- 2θ 45.01, I 17, hkl 2 0 1
- 2θ 54.93, I 9, hkl 1 0 3
- 2θ 67.36, I 9, hkl 2 0 3
- 2θ 74.33, I 8, hkl 3 0 2
- 2θ 82.06, I 7, hkl 3 1 1
- 2θ 41.65, I 7, hkl 2 0 0

Crystal structure
```
data_SrMn2O6
_cell_length_a 5.0074
_cell_length_b 5.0074
_cell_length_c 5.4343
_cell_angle_alpha 90.00
_cell_angle_beta 90.00
_cell_angle_gamma 120.00
_space_group_name_H-M_alt 'P -6 2 m'
_space_group_IT_number 189
_space_group_name_Hall 'P -6 -2'
loop_
_atom_site_label
_atom_site_type_symbol
_atom_site_fract_x
_atom_site_fract_y
_atom_site_fract_z
Sr1 Sr 0.0000 0.0000 0.0000
Mn1 Mn 0.3333 0.6667 0.5000
O1 O 0.0000 0.4337 0.2807
```

- Which formula does entry 1 have?
  SrMn2O6

- Number 1 is which compound?
  SrMn2O6